Theoretical powder X-ray diffraction pattern
Compound: Pm5DyY12
Radiation: Cu Ka
Structure: a crystal structure in Alexandria, relaxed with GGA-PBE
Neutral-atom scattering factors, no anomalous dispersion.

Structure:
abc: 10.7645 5.0812 10.7794
angles: 90.00 90.10 90.00
Space group P2/m (No. 10)
One atom of each set of equivalent atoms:
Pm 0.0000 0.0000 0.0000 (multiplicity 1)
Pm 0.1668 0.5000 0.8332 (multiplicity 2)
Pm 0.3341 0.0000 0.6658 (multiplicity 2)
Dy 0.5000 0.5000 0.5000 (multiplicity 1)
Y 0.0004 0.0000 0.3342 (multiplicity 2)
Y 0.1673 0.5000 0.1672 (multiplicity 2)
Y 0.1673 0.5000 0.4997 (multiplicity 2)
Y 0.3342 0.0000 0.0004 (multiplicity 2)
Y 0.3337 0.0000 0.3338 (multiplicity 2)
Y 0.4996 0.5000 0.1674 (multiplicity 2)

Main lines, most intense first (2θ from 15° to 90°):
d [Å], Rel. int.
2.932, 100
2.540, 50
1.796, 35
1.532, 35
1.466, 12
1.166, 11
1.136, 9
1.530, 7